For PmTmCoBr, the PBE geometry in Alexandria gives the computed powder diffractogram in this record (Cu Ka).
Neutral-atom scattering factors, no anomalous dispersion.

Top 12 peaks for 10 to 80 degrees two-theta, in order of rising 2θ:
- 11.49°, I 22.2
- 26.86°, I 23.3
- 27.70°, I 15.2
- 30.83°, I 40.2
- 33.00°, I 100.0
- 34.94°, I 14.3
- 38.25°, I 9.9
- 46.93°, I 42.2
- 47.79°, I 24.4
- 58.56°, I 19.0
- 59.82°, I 18.5
- 78.20°, I 16.3

Structure:
```
PmTmCoBr
1.0
1.936 1.118 7.705
-1.936 1.118 7.705
0.000 -2.236 7.705
Pm Tm Co Br
1 1 1 1
Direct
0.000 0.000 0.000 Pm
0.793 0.793 0.793 Tm
0.398 0.398 0.398 Co
0.225 0.225 0.225 Br
```

***

For AgSn3Bi3Se8, the PBE geometry in Alexandria gives the computed powder diffractogram in this record (Cu Ka).
Neutral-atom scattering factors, no anomalous dispersion.

Top 12 peaks for 10 to 80 degrees two-theta, in order of rising 2θ:
- 12.89°, I 12.6
- 14.87°, I 7.7
- 21.08°, I 7.0
- 24.75°, I 6.9
- 25.89°, I 13.0
- 29.99°, I 100.0
- 42.92°, I 75.3
- 53.21°, I 20.1
- 62.32°, I 12.5
- 70.63°, I 17.3
- 70.76°, I 17.2
- 78.60°, I 19.5

Structure:
```
AgSn3Bi3Se8
1.0
4.218 2.435 6.868
-4.218 2.435 6.868
0.000 -4.871 6.868
Ag Sn Bi Se
1 3 3 8
Direct
0.000 0.000 0.000 Ag
0.000 0.000 0.500 Sn
0.000 0.500 0.000 Sn
0.500 0.000 0.000 Sn
0.000 0.500 0.500 Bi
0.500 0.000 0.500 Bi
0.500 0.500 0.000 Bi
0.242 0.242 0.758 Se
0.242 0.758 0.242 Se
0.242 0.758 0.758 Se
0.250 0.250 0.250 Se
0.750 0.750 0.750 Se
0.758 0.242 0.242 Se
0.758 0.242 0.758 Se
0.758 0.758 0.242 Se
```

***

For K2Tl3Hg6, the PBE geometry in Alexandria gives the computed powder diffractogram in this record (Cu Ka).
Neutral-atom scattering factors, no anomalous dispersion.

Top 12 peaks for 10 to 80 degrees two-theta, in order of rising 2θ:
- 13.06°, I 33.5
- 14.61°, I 23.4
- 19.07°, I 42.9
- 27.51°, I 64.1
- 28.50°, I 32.3
- 29.66°, I 36.3
- 35.50°, I 100.0
- 35.97°, I 25.9
- 37.68°, I 27.0
- 38.69°, I 31.6
- 39.91°, I 27.7
- 56.80°, I 20.1

Structure:
```
K2Tl3Hg6
1.0
6.063 -6.777 0.000
6.063 6.777 0.000
0.000 0.000 4.655
K Tl Hg
2 3 6
Direct
0.197 0.803 0.000 K
0.803 0.197 0.000 K
0.298 0.298 0.000 Tl
0.500 0.500 0.500 Tl
0.702 0.702 0.000 Tl
0.121 0.121 0.500 Hg
0.157 0.490 0.500 Hg
0.490 0.157 0.500 Hg
0.510 0.843 0.500 Hg
0.843 0.510 0.500 Hg
0.879 0.879 0.500 Hg
```

***

For K4W3, the PBE geometry in Alexandria gives the computed powder diffractogram in this record (Cu Ka).
Neutral-atom scattering factors, no anomalous dispersion.

Top 12 peaks for 10 to 80 degrees two-theta, in order of rising 2θ:
- 14.06°, I 100.0
- 21.15°, I 29.9
- 24.47°, I 47.5
- 28.33°, I 27.7
- 29.22°, I 14.0
- 35.62°, I 22.1
- 40.49°, I 24.8
- 41.15°, I 65.6
- 43.07°, I 31.6
- 46.12°, I 27.9
- 50.15°, I 23.1
- 55.02°, I 30.4

Structure:
```
K4W3
1.0
5.145 0.000 0.000
-2.572 4.456 0.000
0.000 0.000 12.600
K W
4 3
Direct
0.000 0.000 0.206 K
0.000 0.000 0.794 K
0.333 0.667 0.500 K
0.667 0.333 0.500 K
0.000 0.500 0.000 W
0.500 0.000 0.000 W
0.500 0.500 0.000 W
```

***

For LaCe4Rh4, the PBE geometry in Alexandria gives the computed powder diffractogram in this record (Cu Ka).
Neutral-atom scattering factors, no anomalous dispersion.

Top 12 peaks for 10 to 80 degrees two-theta, in order of rising 2θ:
- 13.93°, I 8.3
- 27.17°, I 18.8
- 31.47°, I 100.0
- 33.08°, I 17.9
- 38.82°, I 9.1
- 43.92°, I 10.8
- 45.11°, I 57.9
- 48.58°, I 10.4
- 53.45°, I 7.9
- 56.04°, I 15.2
- 65.66°, I 7.5
- 74.64°, I 15.0

Structure:
```
LaCe4Rh4
1.0
8.993 0.000 0.000
0.000 8.993 0.000
0.000 0.000 5.679
La Ce Rh
2 8 8
Direct
0.250 0.250 0.250 La
0.750 0.750 0.750 La
0.065 0.656 0.190 Ce
0.156 0.935 0.690 Ce
0.344 0.565 0.690 Ce
0.435 0.844 0.190 Ce
0.565 0.156 0.810 Ce
0.656 0.435 0.310 Ce
0.844 0.065 0.310 Ce
0.935 0.344 0.810 Ce
0.047 0.624 0.683 Rh
0.124 0.953 0.183 Rh
0.376 0.547 0.183 Rh
0.453 0.876 0.683 Rh
0.547 0.124 0.317 Rh
0.624 0.453 0.817 Rh
0.876 0.047 0.817 Rh
0.953 0.376 0.317 Rh
```

***

For Nd2Sm3Tm2, the PBE geometry in Alexandria gives the computed powder diffractogram in this record (Cu Ka).
Neutral-atom scattering factors, no anomalous dispersion.

Top 12 peaks for 10 to 80 degrees two-theta, in order of rising 2θ:
- 30.37°, I 100.0
- 30.52°, I 32.9
- 35.25°, I 67.3
- 50.51°, I 8.1
- 50.69°, I 24.0
- 50.84°, I 15.9
- 60.12°, I 14.4
- 60.27°, I 19.1
- 60.35°, I 14.2
- 60.46°, I 9.4
- 63.12°, I 8.3
- 74.50°, I 5.1

Structure:
```
Nd2Sm3Tm2
1.0
3.614 0.000 0.000
-1.798 5.950 0.000
-0.008 -1.070 10.746
Nd Sm Tm
2 3 2
Direct
0.217 0.432 0.355 Nd
0.783 0.568 0.645 Nd
0.357 0.717 0.930 Sm
0.500 0.000 0.500 Sm
0.643 0.283 0.070 Sm
0.071 0.141 0.787 Tm
0.929 0.859 0.213 Tm
```